Structure and simulated PXRD pattern of Na2MnCdFeP3O12 (a cell relaxed with PBE+U; Cu Ka).
Peak positions follow from Bragg's law for the DFT cell and can differ from measured ones.

Top 10 peaks for 2θ = 10–90°, most intense first:
d 2.785, 32.14°, intensity 100.0
d 6.418, 13.80°, intensity 88.4
d 2.804, 31.91°, intensity 50.7
d 2.595, 34.56°, intensity 44.9
d 2.922, 30.60°, intensity 34.7
d 2.155, 41.93°, intensity 34.5
d 4.309, 20.61°, intensity 30.6
d 3.166, 28.19°, intensity 28.7
d 3.011, 29.67°, intensity 26.9
d 4.223, 21.04°, intensity 24.5

Atomic structure:
```
data_Na2MnCdFeP3O12
_chemical_formula_sum 'Na4 Mn2 Cd2 Fe2 P6 O24'
_symmetry_space_group_name_H-M 'P 1'
_symmetry_Int_Tables_number 1
_symmetry_space_group_name_Hall 'P 1'
_cell_length_a 8.897
_cell_length_b 8.897
_cell_length_c 6.616
_cell_angle_alpha 106.68
_cell_angle_beta 106.68
_cell_angle_gamma 92.33
loop_
_atom_site_label
_atom_site_type_symbol
_atom_site_fract_x
_atom_site_fract_y
_atom_site_fract_z
_atom_site_occupancy
Na1 Na 0.000 0.000 0.000 1
Na2 Na 0.482 0.518 0.250 1
Na3 Na 0.482 0.518 0.750 1
Na4 Na 0.950 0.050 0.500 1
Mn1 Mn 0.058 0.392 0.896 1
Mn2 Mn 0.608 0.942 0.104 1
Cd1 Cd 0.254 0.746 0.500 1
Cd2 Cd 0.713 0.287 0.000 1
Fe1 Fe 0.370 0.083 0.386 1
Fe2 Fe 0.917 0.630 0.614 1
P1 P 0.119 0.358 0.383 1
P2 P 0.262 0.738 0.000 1
P3 P 0.328 0.146 0.877 1
P4 P 0.642 0.881 0.617 1
P5 P 0.701 0.299 0.500 1
P6 P 0.854 0.672 0.123 1
O1 O 0.039 0.420 0.568 1
O2 O 0.134 0.757 0.790 1
O3 O 0.153 0.170 0.844 1
O4 O 0.173 0.191 0.383 1
O5 O 0.243 0.866 0.210 1
O6 O 0.244 0.577 0.039 1
O7 O 0.264 0.476 0.425 1
O8 O 0.337 0.024 0.654 1
O9 O 0.385 0.074 0.072 1
O10 O 0.423 0.756 0.961 1
O11 O 0.439 0.299 0.928 1
O12 O 0.524 0.736 0.575 1
O13 O 0.528 0.275 0.507 1
O14 O 0.580 0.961 0.432 1
O15 O 0.672 0.007 0.848 1
O16 O 0.701 0.561 0.072 1
O17 O 0.725 0.472 0.493 1
O18 O 0.729 0.186 0.291 1
O19 O 0.809 0.827 0.617 1
O20 O 0.814 0.271 0.709 1
O21 O 0.830 0.847 0.156 1
O22 O 0.926 0.615 0.928 1
O23 O 0.976 0.663 0.346 1
O24 O 0.993 0.328 0.152 1
```